No. 1
This entry pairs a crystal structure of RbIn3Cl4 with its computed powder X-ray diffraction pattern. Radiation: copper Kα. Structure: a DFT-relaxed cell (PBE, Alexandria).

Largest 12 diffraction maxima, by intensity, 2θ from 5° to 70°:
| 2theta | I (rel.) |
| --- | --- |
| 27.4 | 100.0 |
| 39.1 | 74.0 |
| 23.7 | 45.7 |
| 63.9 | 26.9 |
| 48.4 | 25.8 |
| 46.2 | 25.0 |
| 56.5 | 11.9 |
| 62.1 | 8.7 |
| 64.0 | 5.4 |
| 62.2 | 1.7 |
| 11.8 | 1.5 |
| 22.7 | 0.8 |

Structural model:
a b c (Å): 7.9720 7.9720 4.6032
angles (deg): 90.05 90.05 70.64
Element x y z (fractional)
1 Rb 0.0000 0.0000 0.0000
2 In 0.0000 0.5000 0.5000
3 In 0.5000 0.0000 0.5000
4 In 0.5000 0.5000 0.0000
5 Cl 0.2516 0.2516 0.0004
6 Cl 0.2541 0.7459 0.5000
7 Cl 0.7459 0.2541 0.5000
8 Cl 0.7484 0.7484 0.9996

---

No. 2
This entry pairs a crystal structure of KRbPbCl4 with its computed powder X-ray diffraction pattern. Radiation: copper Kα. Structure: a DFT-relaxed cell (PBE, Alexandria).

Largest 12 diffraction maxima, by intensity, 2θ from 5° to 70°:
| 2theta | I (rel.) |
| --- | --- |
| 10.7 | 100.0 |
| 22.5 | 96.3 |
| 22.2 | 95.2 |
| 16.5 | 83.9 |
| 31.5 | 81.4 |
| 31.3 | 64.4 |
| 39.1 | 49.1 |
| 45.1 | 46.7 |
| 45.9 | 41.2 |
| 33.4 | 28.6 |
| 45.2 | 28.6 |
| 32.5 | 28.2 |

Structural model:
a b c (Å): 9.1816 9.1816 9.1816
angles (deg): 144.01 144.01 51.81
Element x y z (fractional)
1 K 0.0000 0.0000 0.0000
2 Rb 0.2792 0.2792 0.0000
3 Pb 0.6402 0.6402 0.0000
4 Cl 0.1354 0.6354 0.5000
5 Cl 0.4695 0.4695 0.0000
6 Cl 0.6354 0.1354 0.5000
7 Cl 0.8158 0.8158 0.0000

---

No. 3
This entry pairs a crystal structure of Sr8ZnCd2 with its computed powder X-ray diffraction pattern. Radiation: copper Kα. Structure: a DFT-relaxed cell (PBE, Alexandria).

Largest 12 diffraction maxima, by intensity, 2θ from 5° to 70°:
| 2theta | I (rel.) |
| --- | --- |
| 30.9 | 100.0 |
| 27.3 | 86.7 |
| 29.4 | 83.8 |
| 27.1 | 74.2 |
| 31.4 | 64.7 |
| 26.9 | 50.5 |
| 25.5 | 50.4 |
| 27.9 | 40.7 |
| 52.7 | 32.9 |
| 57.7 | 32.9 |
| 34.1 | 31.7 |
| 41.7 | 23.7 |

Structural model:
a b c (Å): 10.7362 10.7362 8.0164
angles (deg): 106.57 106.57 31.32
Element x y z (fractional)
1 Sr 0.0296 0.0296 0.2919
2 Sr 0.2066 0.2066 0.8138
3 Sr 0.3372 0.3372 0.5343
4 Sr 0.4066 0.4066 0.0567
5 Sr 0.5934 0.5934 0.9433
6 Sr 0.6628 0.6628 0.4657
7 Sr 0.7934 0.7934 0.1862
8 Sr 0.9704 0.9704 0.7081
9 Zn 0.5000 0.5000 0.5000
10 Cd 0.1836 0.1836 0.2145
11 Cd 0.8164 0.8164 0.7855

---

No. 4
This entry pairs a crystal structure of Sr5CdIn4 with its computed powder X-ray diffraction pattern. Radiation: copper Kα. Structure: a DFT-relaxed cell (PBE, Alexandria).

Largest 11 diffraction maxima, by intensity, 2θ from 5° to 70°:
| 2theta | I (rel.) |
| --- | --- |
| 31.2 | 100.0 |
| 30.8 | 51.7 |
| 55.0 | 38.7 |
| 44.1 | 18.9 |
| 55.7 | 18.5 |
| 65.1 | 11.5 |
| 45.3 | 8.7 |
| 64.2 | 6.0 |
| 21.6 | 2.4 |
| 38.3 | 1.1 |
| 22.2 | 1.1 |

Structural model:
a b c (Å): 4.1050 4.1050 20.0372
angles (deg): 90.00 90.00 90.00
Element x y z (fractional)
1 Sr 0.0000 0.0000 0.0000
2 Sr 0.0000 0.0000 0.1996
3 Sr 0.0000 0.0000 0.3992
4 Sr 0.0000 0.0000 0.6008
5 Sr 0.0000 0.0000 0.8004
6 Cd 0.5000 0.5000 0.5000
7 In 0.5000 0.5000 0.1009
8 In 0.5000 0.5000 0.2979
9 In 0.5000 0.5000 0.7021
10 In 0.5000 0.5000 0.8991

---

No. 5
This entry pairs a crystal structure of Y3Be2Si3 with its computed powder X-ray diffraction pattern. Radiation: copper Kα. Structure: a DFT-relaxed cell (PBE, Alexandria).

Largest 12 diffraction maxima, by intensity, 2θ from 5° to 70°:
| 2theta | I (rel.) |
| --- | --- |
| 30.7 | 100.0 |
| 24.9 | 91.9 |
| 34.8 | 87.6 |
| 34.5 | 75.7 |
| 35.1 | 65.3 |
| 36.8 | 62.4 |
| 27.4 | 46.5 |
| 25.3 | 43.7 |
| 46.7 | 41.9 |
| 34.6 | 41.0 |
| 47.0 | 39.3 |
| 51.4 | 38.6 |

Structural model:
a b c (Å): 5.6079 5.6079 14.6503
angles (deg): 90.00 90.00 139.69
Element x y z (fractional)
1 Y 0.0507 0.9493 0.7500
2 Y 0.3517 0.6483 0.5929
3 Y 0.3517 0.6483 0.9071
4 Y 0.6483 0.3517 0.0929
5 Y 0.6483 0.3517 0.4071
6 Y 0.9493 0.0507 0.2500
7 Be 0.3600 0.6400 0.1193
8 Be 0.3600 0.6400 0.3807
9 Be 0.6400 0.3600 0.6193
10 Be 0.6400 0.3600 0.8807
11 Si 0.0769 0.9231 0.5581
12 Si 0.0769 0.9231 0.9419
13 Si 0.2318 0.7682 0.2500
14 Si 0.7682 0.2318 0.7500
15 Si 0.9231 0.0769 0.0581
16 Si 0.9231 0.0769 0.4419

---

No. 6
This entry pairs a crystal structure of Na2SrTeO4 with its computed powder X-ray diffraction pattern. Radiation: copper Kα. Structure: a DFT-relaxed cell (PBE, Alexandria).

Largest 12 diffraction maxima, by intensity, 2θ from 5° to 70°:
| 2theta | I (rel.) |
| --- | --- |
| 15.3 | 100.0 |
| 30.3 | 64.0 |
| 33.1 | 53.7 |
| 33.6 | 52.9 |
| 30.9 | 51.9 |
| 39.4 | 43.8 |
| 15.0 | 36.6 |
| 52.7 | 30.1 |
| 52.3 | 28.3 |
| 27.6 | 18.5 |
| 47.0 | 18.5 |
| 27.9 | 17.5 |

Structural model:
a b c (Å): 7.0298 7.0298 7.4743
angles (deg): 121.52 121.52 81.27
Element x y z (fractional)
1 Na 0.0146 0.0146 0.2736
2 Na 0.5008 0.0029 0.2935
3 Na 0.9854 0.9854 0.7264
4 Na 0.9971 0.4992 0.7065
5 Sr 0.4872 0.4877 0.2355
6 Sr 0.5123 0.5128 0.7645
7 Te 0.0025 0.4978 0.2748
8 Te 0.5022 0.9975 0.7252
9 O 0.1713 0.6878 0.6317
10 O 0.2575 0.2899 0.2858
11 O 0.2855 0.2558 0.7650
12 O 0.3122 0.8287 0.3683
13 O 0.6909 0.1736 0.7266
14 O 0.7101 0.7425 0.7142
15 O 0.7442 0.7145 0.2350
16 O 0.8264 0.3091 0.2734